Computed X-ray powder pattern of TbHoAsS for Cu Kα (λ = 1.5418 Å), from the GGA-PBE geometry in Alexandria.
Neutral-atom scattering factors, no anomalous dispersion.

Structure:
a = 4.024 Å, b = 4.024 Å, c = 5.672 Å
α = 90.00°, β = 90.00°, γ = 90.00°
Fractional positions:
Tb 0.000 0.000 0.000
Ho 0.500 0.500 0.500
As 0.500 0.500 0.000
S 0.000 0.000 0.500

Largest 12 diffraction maxima, by intensity, 15° ≤ 2θ ≤ 90°:
2theta, I_rel, hkl
45.11, 100, 2 0 0
31.44, 91, 1 1 0
27.17, 61, 1 0 1
31.55, 45, 0 0 2
56.04, 35, 2 0 2
74.61, 30, 3 1 0
83.22, 23, 3 1 2
53.41, 20, 2 1 1
74.81, 15, 1 1 4
83.38, 11, 2 0 4
65.62, 11, 2 2 0
53.55, 10, 1 0 3